[1]
This entry pairs a crystal structure of GeH2C4F10 with its theoretical XRD peak list. Radiation: Cu Kα (weighted mean of Kα1 and Kα2). Structure: the PBE geometry in the Materials Project.
No peak broadening, texture or thermal motion is included.

Largest 10 diffraction maxima, in order of falling intensity, 2θ from 10° to 90°:
16.53 deg, intensity 100
17.92 deg, intensity 90
20.86 deg, intensity 58
12.73 deg, intensity 46
35.99 deg, intensity 42
30.72 deg, intensity 37
37.99 deg, intensity 20
27.88 deg, intensity 20
37.04 deg, intensity 19
38.29 deg, intensity 19

Atomic structure:
Lattice parameters (Å, degrees): 10.3156 10.1904 13.9051 47.69 46.93 85.39
Fractional positions:
Ge 0.0000 0.0000 0.0000
Ge 0.2500 0.2500 0.2500
H 0.0595 0.2175 0.8138
H 0.2175 0.0595 0.9092
H 0.3408 0.4362 0.0325
H 0.4362 0.3408 0.1905
C 0.0236 0.7575 0.9415
C 0.1326 0.9329 0.4108
C 0.3085 0.9726 0.2264
C 0.7263 0.8392 0.3171
C 0.7575 0.0236 0.2774
C 0.8392 0.7263 0.1174
C 0.9329 0.1326 0.5237
C 0.9726 0.3085 0.4925
F 0.0903 0.3249 0.5036
F 0.1065 0.7935 0.5667
F 0.1174 0.5411 0.2669
F 0.1687 0.7464 0.9251
F 0.1754 0.9831 0.7089
F 0.2261 0.7531 0.3483
F 0.3249 0.0903 0.0813
F 0.4964 0.6943 0.4609
F 0.5411 0.1174 0.0746
F 0.5774 0.9017 0.4969
F 0.6833 0.7166 0.1435
F 0.6943 0.4964 0.3483
F 0.7166 0.6833 0.4565
F 0.7464 0.1687 0.1597
F 0.7531 0.2261 0.6726
F 0.7891 0.9017 0.7536
F 0.7935 0.1065 0.5334
F 0.9017 0.5774 0.0239
F 0.9017 0.7891 0.5557
F 0.9831 0.1754 0.1326

[2]
This entry pairs a crystal structure of GeC2N6F6 with its theoretical XRD peak list. Radiation: Cu Kα (weighted mean of Kα1 and Kα2). Structure: the PBE geometry in the Materials Project.
No peak broadening, texture or thermal motion is included.

Largest 10 diffraction maxima, in order of falling intensity, 2θ from 10° to 90°:
15.34 deg, intensity 100
17.79 deg, intensity 55
24.58 deg, intensity 55
15.94 deg, intensity 47
31.55 deg, intensity 29
44.84 deg, intensity 26
39.65 deg, intensity 17
33.89 deg, intensity 16
19.53 deg, intensity 14
32.46 deg, intensity 14

Atomic structure:
Lattice parameters (Å, degrees): 6.7449 6.7449 6.0951 110.59 110.59 61.48
Fractional positions:
Ge 0.0000 0.0000 0.0000
C 0.2764 0.2764 0.7346
C 0.7273 0.7273 0.2717
N 0.0478 0.3877 0.7270
N 0.3877 0.0478 0.7270
N 0.3947 0.3947 0.7468
N 0.6118 0.6118 0.2725
N 0.6145 0.9547 0.2728
N 0.9547 0.6145 0.2728
F 0.1690 0.7921 0.1959
F 0.1706 0.1706 0.1827
F 0.2082 0.8300 0.8043
F 0.7921 0.1690 0.1959
F 0.8295 0.8295 0.8152
F 0.8300 0.2082 0.8043

[3]
This entry pairs a crystal structure of Ge2C2S3F6 with its theoretical XRD peak list. Radiation: Cu Kα (weighted mean of Kα1 and Kα2). Structure: the PBE geometry in the Materials Project.
No peak broadening, texture or thermal motion is included.

Largest 10 diffraction maxima, in order of falling intensity, 2θ from 10° to 90°:
19.07 deg, intensity 100
33.35 deg, intensity 65
36.55 deg, intensity 64
15.55 deg, intensity 58
47.88 deg, intensity 47
27.10 deg, intensity 43
48.93 deg, intensity 42
18.25 deg, intensity 22
24.06 deg, intensity 21
39.94 deg, intensity 18

Atomic structure:
Lattice parameters (Å, degrees): 11.3988 11.3988 11.3988 60.00 60.00 60.00
Fractional positions:
Ge 0.1004 0.7999 0.7999
Ge 0.2001 0.2001 0.2001
Ge 0.2001 0.2001 0.8996
Ge 0.2001 0.8996 0.2001
Ge 0.7999 0.1004 0.7999
Ge 0.7999 0.7999 0.1004
Ge 0.7999 0.7999 0.7999
Ge 0.8996 0.2001 0.2001
C 0.2734 0.2734 0.2734
C 0.2734 0.2734 0.6797
C 0.2734 0.6797 0.2734
C 0.3203 0.7266 0.7266
C 0.6797 0.2734 0.2734
C 0.7266 0.3203 0.7266
C 0.7266 0.7266 0.3203
C 0.7266 0.7266 0.7266
S 0.0396 0.0396 0.7104
S 0.0396 0.7104 0.0396
S 0.0396 0.7104 0.7104
S 0.2896 0.2896 0.9604
S 0.2896 0.9604 0.2896
S 0.2896 0.9604 0.9604
S 0.7104 0.0396 0.0396
S 0.7104 0.0396 0.7104
S 0.7104 0.7104 0.0396
S 0.9604 0.2896 0.2896
S 0.9604 0.2896 0.9604
S 0.9604 0.9604 0.2896
F 0.1623 0.3553 0.3553
F 0.1623 0.3553 0.6271
F 0.1623 0.6271 0.3553
F 0.3553 0.1623 0.3553
F 0.3553 0.1623 0.6271
F 0.3553 0.3553 0.1623
F 0.3553 0.3553 0.6271
F 0.3553 0.6271 0.1623
F 0.3553 0.6271 0.3553
F 0.3729 0.6447 0.6447
F 0.3729 0.6447 0.8377
F 0.3729 0.8377 0.6447
F 0.6271 0.1623 0.3553
F 0.6271 0.3553 0.1623
F 0.6271 0.3553 0.3553
F 0.6447 0.3729 0.6447
F 0.6447 0.3729 0.8377
F 0.6447 0.6447 0.3729
F 0.6447 0.6447 0.8377
F 0.6447 0.8377 0.3729
F 0.6447 0.8377 0.6447
F 0.8377 0.3729 0.6447
F 0.8377 0.6447 0.3729
F 0.8377 0.6447 0.6447

[4]
This entry pairs a crystal structure of HgH4C12O3F8 with its theoretical XRD peak list. Radiation: Cu Kα (weighted mean of Kα1 and Kα2). Structure: the PBE geometry in the Materials Project.
No peak broadening, texture or thermal motion is included.

Largest 10 diffraction maxima, in order of falling intensity, 2θ from 10° to 90°:
24.22 deg, intensity 100
10.07 deg, intensity 73
24.40 deg, intensity 57
21.89 deg, intensity 50
15.12 deg, intensity 49
14.95 deg, intensity 46
17.31 deg, intensity 44
12.11 deg, intensity 35
19.03 deg, intensity 34
36.54 deg, intensity 22

Atomic structure:
Lattice parameters (Å, degrees): 7.5222 8.9663 12.1797 84.14 80.45 79.36
Fractional positions:
Hg 0.1591 0.0554 0.1822
Hg 0.8409 0.9446 0.8178
H 0.1423 0.4643 0.2410
H 0.1857 0.5841 0.6477
H 0.3880 0.3386 0.3298
H 0.4489 0.3315 0.2017
H 0.5511 0.6685 0.7983
H 0.6120 0.6614 0.6702
H 0.8143 0.4159 0.3523
H 0.8577 0.5357 0.7590
C 0.0236 0.3937 0.8484
C 0.0651 0.8472 0.3871
C 0.0744 0.7483 0.9776
C 0.0916 0.7514 0.4820
C 0.1038 0.1921 0.0386
C 0.1156 0.6511 0.0699
C 0.2041 0.9177 0.3262
C 0.2049 0.3328 0.8639
C 0.2408 0.2344 0.9566
C 0.2608 0.7217 0.5208
C 0.3716 0.8887 0.3651
C 0.4017 0.7931 0.4598
C 0.5983 0.2069 0.5402
C 0.6284 0.1113 0.6349
C 0.7392 0.2783 0.4792
C 0.7592 0.7656 0.0434
C 0.7951 0.6672 0.1361
C 0.7959 0.0823 0.6738
C 0.8844 0.3489 0.9301
C 0.8962 0.8079 0.9614
C 0.9084 0.2486 0.5180
C 0.9256 0.2517 0.0224
C 0.9349 0.1528 0.6129
C 0.9764 0.6063 0.1516
O 0.0088 0.5097 0.2418
O 0.2936 0.6295 0.6131
O 0.3413 0.3444 0.2590
O 0.6587 0.6556 0.7410
O 0.7064 0.3705 0.3869
O 0.9912 0.4903 0.7582
F 0.0461 0.3170 0.4593
F 0.1025 0.1273 0.6467
F 0.2165 0.7843 0.8995
F 0.2928 0.5943 0.0814
F 0.3448 0.3732 0.7881
F 0.4193 0.1794 0.9679
F 0.4325 0.2328 0.5043
F 0.4882 0.0440 0.6915
F 0.5118 0.9560 0.3085
F 0.5675 0.7672 0.4957
F 0.5807 0.8206 0.0321
F 0.6552 0.6268 0.2119
F 0.7072 0.4057 0.9186
F 0.7835 0.2157 0.1005
F 0.8975 0.8727 0.3533
F 0.9539 0.6830 0.5407

Number 4 is which compound?
HgH4C12O3F8